This entry pairs a crystal structure of Si5Pt6 with its theoretical powder diffraction line list. Radiation: Cu Kα. Structure: a structure optimized by DFT (GGA-PBE).

Most intense lines, 2θ from 10° to 90°, low angle first:
d_spacing, two_theta, I (rel.)
3.398, 26.23, 22
3.115, 28.65, 19
3.093, 28.87, 28
3.078, 29.01, 25
3.002, 29.76, 100
2.833, 31.58, 36
2.225, 40.54, 23
2.170, 41.61, 66
2.157, 41.88, 52
2.015, 44.99, 57
1.977, 45.89, 22
1.770, 51.65, 37

Structural model:
```
Si5Pt6
1.0
6.2448 0.0000 0.0000
0.0000 3.5396 0.0000
-0.9577 0.0000 15.5762
Si Pt
10 12
Direct
0.0537 0.2500 0.3807
0.2226 0.7500 0.9271
0.2314 0.7500 0.1651
0.3129 0.2500 0.7798
0.4354 0.2500 0.5647
0.5646 0.7500 0.4353
0.6871 0.7500 0.2202
0.7686 0.2500 0.8349
0.7774 0.2500 0.0729
0.9463 0.7500 0.6193
0.0089 0.7500 0.7813
0.1480 0.2500 0.0522
0.1977 0.7500 0.4986
0.2795 0.7500 0.3217
0.3427 0.7500 0.6742
0.4724 0.2500 0.9230
0.5276 0.7500 0.0770
0.6573 0.2500 0.3258
0.7205 0.2500 0.6783
0.8023 0.2500 0.5014
0.8520 0.7500 0.9478
0.9911 0.2500 0.2187
```

---

This entry pairs a crystal structure of SiPt3 with its theoretical powder diffraction line list. Radiation: Cu Kα. Structure: a structure optimized by DFT (GGA-PBE).

Most intense lines, 2θ from 10° to 90°, low angle first:
d_spacing, two_theta, I (rel.)
2.763, 32.41, 62
2.529, 35.50, 43
2.499, 35.94, 41
2.402, 37.44, 35
2.376, 37.86, 47
2.327, 38.69, 79
2.283, 39.47, 100
2.254, 40.00, 68
2.112, 42.81, 41
2.095, 43.19, 31
1.987, 45.65, 35
1.791, 50.98, 26

Structural model:
```
SiPt3
1.0
5.6776 0.0000 0.0000
0.0000 7.6849 0.0000
0.0000 0.0000 5.5654
Si Pt
4 12
Direct
0.0817 0.2500 0.0069
0.4183 0.7500 0.5069
0.5817 0.2500 0.4931
0.9183 0.7500 0.9931
0.0061 0.7500 0.4172
0.1876 0.5474 0.8085
0.1876 0.9526 0.8085
0.3124 0.0474 0.3085
0.3124 0.4526 0.3085
0.4939 0.2500 0.9172
0.5061 0.7500 0.0828
0.6876 0.5474 0.6915
0.6876 0.9526 0.6915
0.8124 0.0474 0.1915
0.8124 0.4526 0.1915
0.9939 0.2500 0.5828
```

---

This entry pairs a crystal structure of SmSi3Pt with its theoretical powder diffraction line list. Radiation: Cu Kα. Structure: a structure optimized by DFT (GGA-PBE).

Most intense lines, 2θ from 10° to 90°, low angle first:
d_spacing, two_theta, I (rel.)
4.798, 18.49, 16
3.939, 22.57, 33
3.055, 29.23, 46
2.573, 34.88, 100
2.160, 41.82, 32
1.754, 52.15, 14
1.654, 55.57, 36
1.527, 60.62, 11
1.417, 65.93, 10
1.362, 68.97, 12
1.314, 71.88, 16
1.122, 86.79, 11

Structural model:
```
SmSi3Pt
1.0
-2.1601 2.1601 4.7976
2.1601 -2.1601 4.7976
2.1601 2.1601 -4.7976
Sm Si Pt
1 3 1
Direct
0.0000 0.0000 0.0000
0.2638 0.7638 0.5000
0.3995 0.3995 0.0000
0.7638 0.2638 0.5000
0.6479 0.6479 0.0000
```

---

This entry pairs a crystal structure of Sm2Si5Pt3 with its theoretical powder diffraction line list. Radiation: Cu Kα. Structure: a structure optimized by DFT (GGA-PBE).

Most intense lines, 2θ from 10° to 90°, low angle first:
d_spacing, two_theta, I (rel.)
3.664, 24.29, 17
3.591, 24.80, 34
3.201, 27.87, 17
3.046, 29.32, 15
2.886, 30.99, 13
2.825, 31.67, 31
2.606, 34.41, 100
2.499, 35.94, 23
2.095, 43.18, 49
1.661, 55.32, 19
1.607, 57.34, 16
1.443, 64.60, 12

Structural model:
```
Sm2Si5Pt3
1.0
-4.9972 5.7711 3.0463
4.9972 -5.7711 3.0463
4.9972 5.7711 -3.0463
Sm Si Pt
4 10 6
Direct
0.1306 0.2304 0.3610
0.3694 0.7304 0.0998
0.6306 0.2696 0.9002
0.8694 0.7696 0.6390
0.0223 0.7500 0.2723
0.1115 0.6510 0.7625
0.2500 0.2500 0.0000
0.3885 0.1510 0.5396
0.4777 0.7500 0.7277
0.5223 0.2500 0.2723
0.6115 0.8490 0.4604
0.7500 0.7500 0.0000
0.8885 0.3490 0.2375
0.9777 0.2500 0.7277
0.1368 0.8894 0.0261
0.2500 0.7500 0.5000
0.3632 0.3894 0.7526
0.6368 0.6106 0.2474
0.7500 0.2500 0.5000
0.8632 0.1106 0.9739
```

---

This entry pairs a crystal structure of SmSiPt with its theoretical powder diffraction line list. Radiation: Cu Kα. Structure: a structure optimized by DFT (GGA-PBE).

Most intense lines, 2θ from 10° to 90°, low angle first:
d_spacing, two_theta, I (rel.)
4.015, 22.14, 14
3.619, 24.60, 10
3.159, 28.25, 45
2.736, 32.73, 100
2.380, 37.80, 50
2.090, 43.30, 37
1.854, 49.15, 26
1.743, 52.50, 17
1.570, 58.80, 28
1.478, 62.90, 12
1.387, 67.55, 18
1.300, 72.73, 32

Structural model:
```
SmSiPt
1.0
-2.0897 2.0897 7.2387
2.0897 -2.0897 7.2387
2.0897 2.0897 -7.2387
Sm Si Pt
2 2 2
Direct
0.0000 0.0000 0.0000
0.7500 0.2500 0.5000
0.3302 0.8302 0.5000
0.5802 0.5802 0.0000
0.1628 0.6628 0.5000
0.4128 0.4128 0.0000
```

---

This entry pairs a crystal structure of SmSi2Pt2 with its theoretical powder diffraction line list. Radiation: Cu Kα. Structure: a structure optimized by DFT (GGA-PBE).

Most intense lines, 2θ from 10° to 90°, low angle first:
d_spacing, two_theta, I (rel.)
4.964, 17.87, 23
3.892, 22.85, 11
2.606, 34.41, 13
2.562, 35.02, 100
2.482, 36.19, 18
2.115, 42.75, 35
1.910, 47.61, 12
1.610, 57.22, 20
1.496, 62.05, 12
1.448, 64.34, 16
1.292, 73.28, 24
1.281, 73.99, 9

Structural model:
```
SmSi2Pt2
1.0
-2.1153 2.1153 4.9637
2.1153 -2.1153 4.9637
2.1153 2.1153 -4.9637
Sm Si Pt
1 2 2
Direct
0.0000 0.0000 0.0000
0.3806 0.3806 0.0000
0.6194 0.6194 0.0000
0.2500 0.7500 0.5000
0.7500 0.2500 0.5000
```

---

This entry pairs a crystal structure of SmSi2Pt2 with its theoretical powder diffraction line list. Radiation: Cu Kα. Structure: a structure optimized by DFT (GGA-PBE).

Most intense lines, 2θ from 10° to 90°, low angle first:
d_spacing, two_theta, I (rel.)
3.279, 27.19, 28
3.218, 27.72, 32
2.877, 31.08, 84
2.597, 34.53, 75
2.567, 34.96, 100
2.128, 42.49, 77
1.904, 47.76, 27
1.785, 51.16, 43
1.646, 55.86, 39
1.504, 61.65, 26
1.368, 68.62, 27
1.298, 72.88, 24

Structural model:
```
SmSi2Pt2
1.0
4.2551 0.0000 0.0000
0.0000 4.2551 0.0000
0.0000 0.0000 9.8376
Sm Si Pt
2 4 4
Direct
0.2500 0.2500 0.2449
0.7500 0.7500 0.7551
0.2500 0.2500 0.6325
0.2500 0.7500 0.0000
0.7500 0.2500 0.0000
0.7500 0.7500 0.3675
0.2500 0.2500 0.8784
0.2500 0.7500 0.5000
0.7500 0.2500 0.5000
0.7500 0.7500 0.1216
```

---

This entry pairs a crystal structure of SrSi2Pt2 with its theoretical powder diffraction line list. Radiation: Cu Kα. Structure: a structure optimized by DFT (GGA-PBE).

Most intense lines, 2θ from 10° to 90°, low angle first:
d_spacing, two_theta, I (rel.)
3.996, 22.25, 36
3.067, 29.11, 67
2.687, 33.35, 100
2.169, 41.64, 42
1.969, 46.11, 24
1.906, 47.71, 10
1.688, 54.36, 50
1.534, 60.35, 14
1.494, 62.11, 12
1.372, 68.39, 12
1.332, 70.73, 12
1.135, 85.56, 14

Structural model:
```
SrSi2Pt2
1.0
-2.1690 2.1690 5.1335
2.1690 -2.1690 5.1335
2.1690 2.1690 -5.1335
Sr Si Pt
1 2 2
Direct
0.0000 0.0000 0.0000
0.2500 0.7500 0.5000
0.7500 0.2500 0.5000
0.3596 0.3596 0.0000
0.6404 0.6404 0.0000
```

---

This entry pairs a crystal structure of SrSi2Pt2 with its theoretical powder diffraction line list. Radiation: Cu Kα. Structure: a structure optimized by DFT (GGA-PBE).

Most intense lines, 2θ from 10° to 90°, low angle first:
d_spacing, two_theta, I (rel.)
5.096, 17.40, 51
3.043, 29.35, 19
2.613, 34.32, 100
2.548, 35.22, 18
2.152, 41.99, 36
1.982, 45.77, 18
1.954, 46.48, 24
1.644, 55.93, 20
1.521, 60.89, 12
1.483, 62.63, 18
1.315, 71.80, 24
1.200, 79.92, 10

Structural model:
```
SrSi2Pt2
1.0
-2.1517 2.1517 5.0960
2.1517 -2.1517 5.0960
2.1517 2.1517 -5.0960
Sr Si Pt
1 2 2
Direct
0.0000 0.0000 0.0000
0.3731 0.3731 0.0000
0.6269 0.6269 0.0000
0.2500 0.7500 0.5000
0.7500 0.2500 0.5000
```

---

This entry pairs a crystal structure of TaSiPt with its theoretical powder diffraction line list. Radiation: Cu Kα. Structure: a structure optimized by DFT (GGA-PBE).

Most intense lines, 2θ from 10° to 90°, low angle first:
d_spacing, two_theta, I (rel.)
3.220, 27.70, 19
3.024, 29.54, 24
2.472, 36.34, 100
2.348, 38.34, 38
2.312, 38.96, 21
2.084, 43.43, 14
2.066, 43.82, 23
1.928, 47.14, 23
1.480, 62.76, 14
1.410, 66.31, 14
1.321, 71.43, 17
1.194, 80.44, 10

Structural model:
```
TaSiPt
1.0
6.4517 0.0000 0.0000
0.0000 3.8562 0.0000
0.0000 0.0000 7.4290
Ta Si Pt
4 4 4
Direct
0.0259 0.2500 0.1645
0.4741 0.7500 0.6645
0.5259 0.2500 0.3355
0.9741 0.7500 0.8355
0.2323 0.7500 0.3750
0.2677 0.2500 0.8750
0.7323 0.7500 0.1250
0.7677 0.2500 0.6250
0.1529 0.2500 0.5676
0.3471 0.7500 0.0676
0.6529 0.2500 0.9324
0.8471 0.7500 0.4324
```

---

This entry pairs a crystal structure of TbSiPt with its theoretical powder diffraction line list. Radiation: Cu Kα. Structure: a structure optimized by DFT (GGA-PBE).

Most intense lines, 2θ from 10° to 90°, low angle first:
d_spacing, two_theta, I (rel.)
3.301, 27.01, 65
2.621, 34.21, 29
2.565, 34.98, 100
2.245, 40.18, 17
2.156, 41.90, 65
1.806, 50.55, 14
1.651, 55.69, 19
1.555, 59.45, 11
1.385, 67.65, 27
1.366, 68.73, 9
1.311, 72.06, 14
1.263, 75.25, 11

Structural model:
```
TbSiPt
1.0
7.0599 0.0000 0.0000
0.0000 4.3118 0.0000
0.0000 0.0000 7.4702
Tb Si Pt
4 4 4
Direct
0.0043 0.2500 0.2023
0.4957 0.7500 0.7023
0.5043 0.2500 0.2977
0.9957 0.7500 0.7977
0.1863 0.2500 0.5870
0.3137 0.7500 0.0870
0.6863 0.2500 0.9130
0.8137 0.7500 0.4130
0.2011 0.7500 0.4151
0.2989 0.2500 0.9151
0.7011 0.7500 0.0849
0.7989 0.2500 0.5849
```

---

This entry pairs a crystal structure of SiTePt with its theoretical powder diffraction line list. Radiation: Cu Kα. Structure: a structure optimized by DFT (GGA-PBE).

Most intense lines, 2θ from 10° to 90°, low angle first:
d_spacing, two_theta, I (rel.)
3.629, 24.53, 100
3.158, 28.26, 67
3.112, 28.69, 42
3.066, 29.12, 67
2.816, 31.77, 21
2.726, 32.86, 43
2.573, 34.87, 26
2.217, 40.70, 42
2.195, 41.12, 27
1.972, 46.02, 44
1.902, 47.81, 62
1.881, 48.38, 47

Structural model:
```
SiTePt
1.0
6.2231 0.0000 0.0000
0.0000 6.3212 0.0000
0.0000 0.0000 12.6321
Si Te Pt
8 8 8
Direct
0.1289 0.1666 0.0609
0.1289 0.3334 0.5609
0.3711 0.6666 0.0609
0.3711 0.8334 0.5609
0.6289 0.1666 0.4391
0.6289 0.3334 0.9391
0.8711 0.6666 0.4391
0.8711 0.8334 0.9391
0.1170 0.5837 0.8253
0.1170 0.9163 0.3253
0.3830 0.0837 0.8253
0.3830 0.4163 0.3253
0.6170 0.5837 0.6747
0.6170 0.9163 0.1747
0.8830 0.0837 0.6747
0.8830 0.4163 0.1747
0.0255 0.6871 0.6136
0.0255 0.8129 0.1136
0.4745 0.1871 0.6136
0.4745 0.3129 0.1136
0.5255 0.6871 0.8864
0.5255 0.8129 0.3864
0.9745 0.1871 0.8864
0.9745 0.3129 0.3864
```

---

This entry pairs a crystal structure of ThSiPt with its theoretical powder diffraction line list. Radiation: Cu Kα. Structure: a structure optimized by DFT (GGA-PBE).

Most intense lines, 2θ from 10° to 90°, low angle first:
d_spacing, two_theta, I (rel.)
3.702, 24.04, 12
3.185, 28.01, 45
2.739, 32.69, 100
2.414, 37.24, 49
2.085, 43.41, 35
1.886, 48.25, 23
1.744, 52.46, 17
1.578, 58.49, 27
1.474, 63.06, 12
1.399, 66.89, 18
1.323, 71.27, 12
1.298, 72.87, 21

Structural model:
```
ThSiPt
1.0
-2.0847 2.0847 7.4030
2.0847 -2.0847 7.4030
2.0847 2.0847 -7.4030
Th Si Pt
2 2 2
Direct
0.0000 0.0000 0.0000
0.7500 0.2500 0.5000
0.1691 0.6691 0.5000
0.4191 0.4191 0.0000
0.3356 0.8356 0.5000
0.5856 0.5856 0.0000
```